(1)
CeMg5Cd6: computed powder diffractogram (Cu Kα X-rays), based on a crystal structure in Alexandria, relaxed with GGA-PBE.

Cell and atoms:
```
data_CeMg5Cd6
_cell_length_a 4.8333
_cell_length_b 7.8188
_cell_length_c 7.6310
_cell_angle_alpha 90.00
_cell_angle_beta 107.94
_cell_angle_gamma 90.00
_symmetry_space_group_name_H-M 'P 1'
_symmetry_Int_Tables_number 1
loop_
_symmetry_equiv_pos_as_xyz
'x,y,z'
loop_
_atom_site_label
_atom_site_type_symbol
_atom_site_fract_x
_atom_site_fract_y
_atom_site_fract_z
Ce1 Ce 0.0000 0.0000 0.0000
Mg1 Mg 0.0000 0.5000 0.0000
Mg2 Mg 0.3313 0.0000 0.6590
Mg3 Mg 0.3357 0.5000 0.6662
Mg4 Mg 0.6643 0.5000 0.3338
Mg5 Mg 0.6687 0.0000 0.3410
Cd1 Cd 0.1687 0.2601 0.3425
Cd2 Cd 0.1687 0.7399 0.3425
Cd3 Cd 0.5000 0.2697 0.0000
Cd4 Cd 0.5000 0.7303 0.0000
Cd5 Cd 0.8313 0.2601 0.6575
Cd6 Cd 0.8313 0.7399 0.6575
```

Top 10 peaks for 2θ from 10° to 80°, most intense first:
- 2θ 34.76, intensity 100
- 2θ 34.95, intensity 98
- 2θ 37.18, intensity 84
- 2θ 60.94, intensity 35
- 2θ 65.37, intensity 30
- 2θ 22.75, intensity 28
- 2θ 25.93, intensity 26
- 2θ 46.46, intensity 21
- 2θ 26.17, intensity 21
- 2θ 44.03, intensity 19

***

(2)
CeMg7Cd5: computed powder diffractogram (Cu Kα X-rays), based on a crystal structure in Alexandria, relaxed with GGA-PBE.

Cell and atoms:
```
data_CeMg7Cd5
_cell_length_a 7.6804
_cell_length_b 7.6804
_cell_length_c 7.6804
_cell_angle_alpha 134.81
_cell_angle_beta 98.29
_cell_angle_gamma 98.69
_symmetry_space_group_name_H-M 'P 1'
_symmetry_Int_Tables_number 1
loop_
_symmetry_equiv_pos_as_xyz
'x,y,z'
loop_
_atom_site_label
_atom_site_type_symbol
_atom_site_fract_x
_atom_site_fract_y
_atom_site_fract_z
Ce1 Ce 0.0000 0.0000 0.0000
Mg1 Mg 0.2147 0.5026 0.7121
Mg2 Mg 0.3484 0.3484 0.0000
Mg3 Mg 0.3499 0.9996 0.3503
Mg4 Mg 0.6481 0.6481 0.0000
Mg5 Mg 0.6493 0.9996 0.6497
Mg6 Mg 0.7841 0.2841 0.5000
Mg7 Mg 0.7905 0.5026 0.2879
Cd1 Cd 0.0005 0.0032 0.4971
Cd2 Cd 0.0005 0.5035 0.9974
Cd3 Cd 0.2080 0.7080 0.5000
Cd4 Cd 0.5061 0.0032 0.0026
Cd5 Cd 0.5061 0.5035 0.5029
```

Top 10 peaks for 2θ from 10° to 80°, most intense first:
- 2θ 35.29, intensity 100
- 2θ 35.71, intensity 83
- 2θ 17.71, intensity 53
- 2θ 25.12, intensity 46
- 2θ 39.74, intensity 45
- 2θ 51.17, intensity 42
- 2θ 24.95, intensity 35
- 2θ 12.48, intensity 30
- 2θ 35.89, intensity 30
- 2θ 40.17, intensity 19

***

(3)
CeMg2Cd5: computed powder diffractogram (Cu Kα X-rays), based on a crystal structure in Alexandria, relaxed with GGA-PBE.

Cell and atoms:
```
data_CeMg2Cd5
_cell_length_a 4.7234
_cell_length_b 4.7234
_cell_length_c 17.0204
_cell_angle_alpha 90.00
_cell_angle_beta 90.00
_cell_angle_gamma 90.00
_symmetry_space_group_name_H-M 'P 1'
_symmetry_Int_Tables_number 1
loop_
_symmetry_equiv_pos_as_xyz
'x,y,z'
loop_
_atom_site_label
_atom_site_type_symbol
_atom_site_fract_x
_atom_site_fract_y
_atom_site_fract_z
Ce1 Ce 0.0000 0.0000 0.0000
Ce2 Ce 0.5000 0.5000 0.5000
Mg1 Mg 0.0000 0.0000 0.2446
Mg2 Mg 0.0000 0.0000 0.7554
Mg3 Mg 0.5000 0.5000 0.2554
Mg4 Mg 0.5000 0.5000 0.7446
Cd1 Cd 0.0000 0.0000 0.5000
Cd2 Cd 0.0000 0.5000 0.1345
Cd3 Cd 0.0000 0.5000 0.3655
Cd4 Cd 0.0000 0.5000 0.6345
Cd5 Cd 0.0000 0.5000 0.8655
Cd6 Cd 0.5000 0.0000 0.1345
Cd7 Cd 0.5000 0.0000 0.3655
Cd8 Cd 0.5000 0.0000 0.6345
Cd9 Cd 0.5000 0.0000 0.8655
Cd10 Cd 0.5000 0.5000 0.0000
```

Top 10 peaks for 2θ from 10° to 80°, most intense first:
- 2θ 34.13, intensity 100
- 2θ 38.10, intensity 38
- 2θ 66.32, intensity 27
- 2θ 28.71, intensity 18
- 2θ 58.38, intensity 18
- 2θ 10.39, intensity 15
- 2θ 54.98, intensity 13
- 2θ 42.49, intensity 12
- 2θ 71.87, intensity 10
- 2θ 72.39, intensity 8